1.
BaSr6Au2: simulated powder X-ray diffraction pattern (Cu Kα X-rays), based on a cell relaxed with GGA-PBE.
No peak broadening, texture or thermal motion is included.

Main lines, by angle (2θ from 10° to 90°):
d [Å], I_rel
6.718, 92
5.932, 66
4.075, 42
3.558, 43
3.359, 100
2.747, 42
2.718, 53
2.353, 42
2.340, 46
2.088, 35

Structure:
```
data_BaSr6Au2
_chemical_formula_sum 'Ba1 Sr6 Au2'
_space_group_name_H-M_alt 'P 1'
_space_group_IT_number 1
_cell_length_a 8.6808
_cell_length_b 8.6808
_cell_length_c 8.6808
_cell_angle_alpha 56.00
_cell_angle_beta 56.00
_cell_angle_gamma 56.00
loop_
_space_group_symop_operation_xyz
'x,y,z'
loop_
_atom_site_label
_atom_site_fract_x
_atom_site_fract_y
_atom_site_fract_z
Ba1 0.0000 0.0000 0.0000
Sr1 0.9997 0.4745 0.5249
Sr2 0.1492 0.8500 0.5001
Sr3 0.4745 0.5249 0.9997
Sr4 0.5001 0.1492 0.8500
Sr5 0.5249 0.9997 0.4745
Sr6 0.8500 0.5001 0.1492
Au1 0.4308 0.4308 0.4308
Au2 0.5686 0.5686 0.5686
```

2.
Sc4Hg3Au: simulated powder X-ray diffraction pattern (Cu Kα X-rays), based on a cell relaxed with GGA-PBE.
No peak broadening, texture or thermal motion is included.

Main lines, by angle (2θ from 10° to 90°):
d [Å], I_rel
3.493, 49
2.470, 100
2.017, 15
1.747, 17
1.562, 21
1.426, 35
1.235, 11
1.164, 11
1.105, 16

Structure:
```
data_Sc4Hg3Au
_chemical_formula_sum 'Sc4 Hg3 Au1'
_space_group_name_H-M_alt 'P 1'
_space_group_IT_number 1
_cell_length_a 3.4939
_cell_length_b 3.4939
_cell_length_c 13.9670
_cell_angle_alpha 90.00
_cell_angle_beta 90.00
_cell_angle_gamma 90.00
loop_
_space_group_symop_operation_xyz
'x,y,z'
loop_
_atom_site_label
_atom_site_fract_x
_atom_site_fract_y
_atom_site_fract_z
Sc1 0.0000 0.0000 0.1170
Sc2 0.0000 0.0000 0.3722
Sc3 0.0000 0.0000 0.6278
Sc4 0.0000 0.0000 0.8830
Hg1 0.5000 0.5000 0.2472
Hg2 0.5000 0.5000 0.5000
Hg3 0.5000 0.5000 0.7528
Au1 0.5000 0.5000 0.0000
```

3.
Sb10Pb10S24Cl3: simulated powder X-ray diffraction pattern (Cu Kα X-rays), based on a cell relaxed with GGA-PBE.
No peak broadening, texture or thermal motion is included.

Main lines, by angle (2θ from 10° to 90°):
d [Å], I_rel
3.938, 54
3.774, 100
3.495, 86
3.471, 86
2.943, 63
2.817, 81
2.803, 73
2.741, 59
1.995, 68
1.924, 73

Structure:
```
data_Sb10Pb10S24Cl3
_chemical_formula_sum 'Sb10 Pb10 S24 Cl3'
_space_group_name_H-M_alt 'P 1'
_space_group_IT_number 1
_cell_length_a 15.4986
_cell_length_b 3.9896
_cell_length_c 19.9724
_cell_angle_alpha 90.00
_cell_angle_beta 95.07
_cell_angle_gamma 90.00
loop_
_space_group_symop_operation_xyz
'x,y,z'
loop_
_atom_site_label
_atom_site_fract_x
_atom_site_fract_y
_atom_site_fract_z
Sb1 0.0098 0.0000 0.1785
Sb2 0.1364 0.0000 0.0111
Sb3 0.3290 0.0000 0.6134
Sb4 0.4126 0.0000 0.4131
Sb5 0.4808 0.0000 0.7763
Sb6 0.5192 0.0000 0.2237
Sb7 0.5874 0.0000 0.5869
Sb8 0.6710 0.0000 0.3866
Sb9 0.8636 0.0000 0.9889
Sb10 0.9902 0.0000 0.8215
Pb1 0.0881 0.5000 0.6580
Pb2 0.1859 0.5000 0.4544
Pb3 0.2334 0.5000 0.8546
Pb4 0.2803 0.5000 0.2536
Pb5 0.3785 0.5000 0.0593
Pb6 0.6215 0.5000 0.9407
Pb7 0.7197 0.5000 0.7464
Pb8 0.7666 0.5000 0.1454
Pb9 0.8141 0.5000 0.5456
Pb10 0.9119 0.5000 0.3420
S1 0.0662 0.5000 0.2556
S2 0.0753 0.5000 0.9162
S3 0.1287 0.0000 0.7673
S4 0.1799 0.0000 0.5616
S5 0.1895 0.5000 0.0918
S6 0.2618 0.0000 0.3607
S7 0.2760 0.0000 0.9605
S8 0.2943 0.5000 0.6906
S9 0.3677 0.0000 0.1701
S10 0.3683 0.5000 0.4997
S11 0.4445 0.5000 0.8529
S12 0.4490 0.5000 0.3219
S13 0.5510 0.5000 0.6781
S14 0.5555 0.5000 0.1471
S15 0.6323 0.0000 0.8299
S16 0.6317 0.5000 0.5003
S17 0.7057 0.5000 0.3094
S18 0.7240 0.0000 0.0395
S19 0.7382 0.0000 0.6393
S20 0.8105 0.5000 0.9082
S21 0.8201 0.0000 0.4384
S22 0.8713 0.0000 0.2327
S23 0.9247 0.5000 0.0838
S24 0.9338 0.5000 0.7444
Cl1 0.0354 0.0000 0.4080
Cl2 0.5000 0.0000 0.0000
Cl3 0.9646 0.0000 0.5920
```

4.
Ba2CdIr: simulated powder X-ray diffraction pattern (Cu Kα X-rays), based on a cell relaxed with GGA-PBE.
No peak broadening, texture or thermal motion is included.

Main lines, by angle (2θ from 10° to 90°):
d [Å], I_rel
6.076, 36
3.241, 100
3.079, 59
2.587, 86
2.563, 41
2.386, 34
2.369, 33
1.886, 29
1.865, 25
1.681, 23

Structure:
```
data_Ba2CdIr
_chemical_formula_sum 'Ba2 Cd1 Ir1'
_space_group_name_H-M_alt 'P 1'
_space_group_IT_number 1
_cell_length_a 4.7386
_cell_length_b 4.7726
_cell_length_c 6.5165
_cell_angle_alpha 90.00
_cell_angle_beta 111.19
_cell_angle_gamma 90.00
loop_
_space_group_symop_operation_xyz
'x,y,z'
loop_
_atom_site_label
_atom_site_fract_x
_atom_site_fract_y
_atom_site_fract_z
Ba1 0.0000 0.0000 0.0000
Ba2 0.2786 0.5000 0.5590
Cd1 0.5796 0.5000 0.1594
Ir1 0.6967 0.0000 0.3954
```

5.
Sr3NiSn3: simulated powder X-ray diffraction pattern (Cu Kα X-rays), based on a cell relaxed with GGA-PBE.
No peak broadening, texture or thermal motion is included.

Main lines, by angle (2θ from 10° to 90°):
d [Å], I_rel
5.976, 22
3.087, 20
3.052, 100
2.988, 19
2.695, 23
2.524, 26
2.512, 48
2.476, 22
2.393, 40
1.608, 21

Structure:
```
data_Sr3NiSn3
_chemical_formula_sum 'Sr6 Ni2 Sn6'
_space_group_name_H-M_alt 'P 1'
_space_group_IT_number 1
_cell_length_a 6.4396
_cell_length_b 6.4396
_cell_length_c 15.8473
_cell_angle_alpha 108.85
_cell_angle_beta 108.85
_cell_angle_gamma 43.63
loop_
_space_group_symop_operation_xyz
'x,y,z'
loop_
_atom_site_label
_atom_site_fract_x
_atom_site_fract_y
_atom_site_fract_z
Sr1 0.0239 0.0239 0.3879
Sr2 0.0975 0.0975 0.9174
Sr3 0.2473 0.2473 0.2367
Sr4 0.7527 0.7527 0.7633
Sr5 0.9025 0.9025 0.0826
Sr6 0.9761 0.9761 0.6121
Ni1 0.2579 0.2579 0.6015
Ni2 0.7421 0.7421 0.3985
Sn1 0.3349 0.3349 0.4601
Sn2 0.3869 0.3869 0.9211
Sn3 0.4509 0.4509 0.7530
Sn4 0.5491 0.5491 0.2470
Sn5 0.6131 0.6131 0.0789
Sn6 0.6651 0.6651 0.5399
```